The following is a calculated X-ray diffraction stick pattern of Na2Li2In7. It was derived from the PBE geometry in Alexandria, using Cu Kα (λ = 1.5418 Å).
Peak positions follow from Bragg's law for the DFT cell and can differ from measured ones.

Atomic structure:
```
data_Na2Li2In7
_chemical_formula_sum 'Na4 Li4 In14'
_cell_length_a 4.7635
_cell_length_b 14.4734
_cell_length_c 8.0103
_cell_angle_alpha 90.00
_cell_angle_beta 90.00
_cell_angle_gamma 90.00
_symmetry_space_group_name_H-M 'I m m 2'
_symmetry_Int_Tables_number 44
loop_
_symmetry_equiv_pos_as_xyz
'x,y,z'
'-x,-y,z'
'-x,y,z'
'x,-y,z'
'x+1/2,y+1/2,z+1/2'
'-x+1/2,-y+1/2,z+1/2'
'-x+1/2,y+1/2,z+1/2'
'x+1/2,-y+1/2,z+1/2'
loop_
_atom_site_label
_atom_site_type_symbol
_atom_site_fract_x
_atom_site_fract_y
_atom_site_fract_z
Na1 Na 0.0000 0.0000 0.0000
Na2 Na 0.0000 0.5000 0.1636
Li1 Li 0.0000 0.2757 0.0664
In1 In 0.0000 0.1333 0.3624
In2 In 0.0000 0.1772 0.7463
In3 In 0.0000 0.3438 0.4869
In4 In 0.0000 0.5000 0.7697
```

Most intense lines, 2θ from 10° to 90°, most intense first:
d (Å)  intensity  (hkl)
2.587  100  1 3 2
2.711  50  1 4 1
4.094  48  1 0 1
2.382  35  2 0 0
2.329  25  1 0 3
3.390  22  1 3 0
2.412  21  0 6 0
2.336  21  0 3 3
4.133  20  0 3 1
2.626  16  0 1 3



The following is a calculated X-ray diffraction stick pattern of NaLi4In. It was derived from the PBE geometry in Alexandria, using Cu Kα (λ = 1.5418 Å).
Peak positions follow from Bragg's law for the DFT cell and can differ from measured ones.

Atomic structure:
```
data_NaLi4In
_chemical_formula_sum 'Na4 Li16 In4'
_cell_length_a 7.9236
_cell_length_b 7.9236
_cell_length_c 7.9236
_cell_angle_alpha 90.00
_cell_angle_beta 90.00
_cell_angle_gamma 90.00
_symmetry_space_group_name_H-M 'F -4 3 m'
_symmetry_Int_Tables_number 216
_symmetry_space_group_name_Hall 'F -4 2 3'
loop_
_atom_site_label
_atom_site_type_symbol
_atom_site_fract_x
_atom_site_fract_y
_atom_site_fract_z
Na1 Na 0.0000 0.0000 0.0000
Li1 Li 0.1232 0.1232 0.3768
In1 In 0.2500 0.2500 0.7500
```

Most intense lines, 2θ from 10° to 90°, most intense first:
d (Å)  intensity  (hkl)
4.575  100  1 1 1
2.389  74  3 1 1
2.801  71  2 2 0
3.962  36  2 0 0
1.617  26  4 2 2
1.818  24  3 3 1
1.525  23  3 3 3
1.339  17  5 3 1
1.772  16  4 2 0
2.287  12  2 2 2